1.
Theoretical X-ray diffraction stick pattern
Compound: BaNiAsAu
Radiation: Cu Kα
Structure: a crystal structure in OQMD, relaxed with PBE

Largest 8 diffraction maxima, most intense first, 10° ≤ 2θ ≤ 90°:
Position (°2θ)  I_rel
35.8  100
64.4  36
25.1  19
51.6  18
86.9  16
75.9  11
58.2  8
44.3  6

Cell and atoms:
Cell lengths 5.013, 5.013, 5.013 Å; angles 60.00, 60.00, 60.00 degrees
Fractional coordinates of all 4 atoms:
Ba 0.000 0.000 0.000
Ni 0.750 0.750 0.750
As 0.250 0.250 0.250
Au 0.500 0.500 0.500



2.
Theoretical X-ray diffraction stick pattern
Compound: Ag3SbS3
Radiation: Cu Kα
Structure: a crystal structure in OQMD, relaxed with PBE

Largest 8 diffraction maxima, most intense first, 10° ≤ 2θ ≤ 90°:
Position (°2θ)  I_rel
29.1  100
29.3  95
30.6  72
27.2  58
30.8  36
25.5  33
44.4  32
46.3  30

Cell and atoms:
Cell lengths 7.046, 7.046, 17.120 Å; angles 108.16, 108.16, 55.45 degrees
Fractional coordinates of all 28 atoms:
Ag 0.019 0.847 0.563
Ag 0.097 0.160 0.714
Ag 0.153 0.981 0.937
Ag 0.160 0.097 0.214
Ag 0.321 0.408 0.636
Ag 0.408 0.321 0.136
Ag 0.592 0.679 0.864
Ag 0.679 0.592 0.364
Ag 0.840 0.903 0.786
Ag 0.847 0.019 0.063
Ag 0.903 0.840 0.286
Ag 0.981 0.153 0.437
Sb 0.294 0.411 0.934
Sb 0.411 0.294 0.434
Sb 0.589 0.706 0.566
Sb 0.706 0.589 0.066
S 0.001 0.302 0.856
S 0.016 0.659 0.413
S 0.276 0.580 0.824
S 0.302 0.001 0.356
S 0.341 0.984 0.087
S 0.420 0.724 0.676
S 0.580 0.276 0.324
S 0.659 0.016 0.913
S 0.698 0.999 0.644
S 0.724 0.420 0.176
S 0.984 0.341 0.587
S 0.999 0.698 0.144



3.
Theoretical X-ray diffraction stick pattern
Compound: BaCd11
Radiation: Cu Kα
Structure: a crystal structure in OQMD, relaxed with PBE

Largest 8 diffraction maxima, most intense first, 10° ≤ 2θ ≤ 90°:
Position (°2θ)  I_rel
39.1  100
32.9  97
33.2  72
40.7  41
35.4  34
38.5  33
59.2  33
29.1  33

Cell and atoms:
Cell lengths 9.369, 9.369, 9.369 Å; angles 99.94, 99.94, 130.91 degrees
Fractional coordinates of all 24 atoms:
Ba 0.375 0.625 0.750
Ba 0.625 0.375 0.250
Cd 0.000 0.000 0.000
Cd 0.000 0.000 0.500
Cd 0.000 0.500 0.000
Cd 0.125 0.875 0.250
Cd 0.130 0.554 0.333
Cd 0.130 0.797 0.575
Cd 0.203 0.279 0.333
Cd 0.203 0.870 0.925
Cd 0.279 0.203 0.833
Cd 0.279 0.446 0.075
Cd 0.446 0.279 0.575
Cd 0.446 0.870 0.167
Cd 0.500 0.000 0.500
Cd 0.554 0.130 0.833
Cd 0.554 0.721 0.425
Cd 0.721 0.554 0.925
Cd 0.721 0.797 0.167
Cd 0.797 0.130 0.075
Cd 0.797 0.721 0.667
Cd 0.870 0.203 0.425
Cd 0.870 0.446 0.667
Cd 0.875 0.125 0.750



4.
Theoretical X-ray diffraction stick pattern
Compound: Ge2Mo
Radiation: Cu Kα
Structure: a crystal structure in OQMD, relaxed with PBE

Largest 8 diffraction maxima, most intense first, 10° ≤ 2θ ≤ 90°:
Position (°2θ)  I_rel
42.6  100
38.2  69
72.0  41
55.1  23
80.8  15
81.7  7
68.1  6
21.5  2

Cell and atoms:
Cell lengths 4.758, 4.758, 4.758 Å; angles 138.97, 138.97, 59.43 degrees
Fractional coordinates of all 3 atoms:
Ge 0.162 0.162 0.000
Ge 0.838 0.838 0.000
Mo 0.500 0.500 0.000



5.
Theoretical X-ray diffraction stick pattern
Compound: CoOs2Pd
Radiation: Cu Kα
Structure: a crystal structure in OQMD, relaxed with PBE

Largest 8 diffraction maxima, most intense first, 10° ≤ 2θ ≤ 90°:
Position (°2θ)  I_rel
42.0  100
76.8  34
25.4  18
60.9  17
49.7  9
67.1  4
82.4  3
29.4  1

Cell and atoms:
Cell lengths 4.300, 4.300, 4.300 Å; angles 60.00, 60.00, 60.00 degrees
Fractional coordinates of all 4 atoms:
Co 0.000 0.000 0.000
Os 0.250 0.250 0.250
Os 0.500 0.500 0.500
Pd 0.750 0.750 0.750



6.
Theoretical X-ray diffraction stick pattern
Compound: SmH2SO5F
Radiation: Cu Kα
Structure: a crystal structure in OQMD, relaxed with PBE

Largest 8 diffraction maxima, most intense first, 10° ≤ 2θ ≤ 90°:
Position (°2θ)  I_rel
30.9  100
23.8  98
15.4  91
19.6  62
19.2  62
24.3  57
31.1  55
33.3  55

Cell and atoms:
Cell lengths 4.879, 7.327, 12.143 Å; angles 90.00, 108.58, 90.00 degrees
Fractional coordinates of all 40 atoms:
Sm 0.035 0.233 0.317
Sm 0.035 0.267 0.817
Sm 0.965 0.733 0.183
Sm 0.965 0.767 0.683
H 0.252 0.612 0.504
H 0.252 0.888 0.004
H 0.308 0.021 0.111
H 0.308 0.479 0.611
H 0.692 0.521 0.389
H 0.692 0.979 0.889
H 0.748 0.112 0.996
H 0.748 0.388 0.496
S 0.406 0.129 0.617
S 0.406 0.371 0.117
S 0.594 0.629 0.883
S 0.594 0.871 0.383
O 0.225 0.533 0.102
O 0.225 0.967 0.602
O 0.244 0.602 0.583
O 0.244 0.898 0.083
O 0.281 0.574 0.834
O 0.281 0.926 0.334
O 0.348 0.238 0.200
O 0.348 0.262 0.700
O 0.361 0.223 0.506
O 0.361 0.277 0.006
O 0.639 0.723 0.994
O 0.639 0.777 0.494
O 0.652 0.738 0.300
O 0.652 0.762 0.800
O 0.719 0.074 0.666
O 0.719 0.426 0.166
O 0.756 0.102 0.917
O 0.756 0.398 0.417
O 0.775 0.033 0.398
O 0.775 0.467 0.898
F 0.181 0.535 0.335
F 0.181 0.965 0.835
F 0.819 0.035 0.165
F 0.819 0.465 0.665



7.
Theoretical X-ray diffraction stick pattern
Compound: HoScAsO
Radiation: Cu Kα
Structure: a crystal structure in OQMD, relaxed with PBE

Largest 8 diffraction maxima, most intense first, 10° ≤ 2θ ≤ 90°:
Position (°2θ)  I_rel
15.3  100
30.3  93
34.6  78
40.7  62
27.3  58
38.0  54
33.5  38
45.9  28

Cell and atoms:
Cell lengths 3.957, 5.808, 6.856 Å; angles 90.00, 90.00, 90.00 degrees
Fractional coordinates of all 8 atoms:
Ho 0.000 0.069 0.000
Ho 0.000 0.931 0.500
Sc 0.500 0.360 0.333
Sc 0.500 0.640 0.833
As 0.500 0.198 0.710
As 0.500 0.802 0.210
O 0.000 0.260 0.292
O 0.000 0.740 0.792



8.
Theoretical X-ray diffraction stick pattern
Compound: Ta4ZnSiC2
Radiation: Cu Kα
Structure: a crystal structure in OQMD, relaxed with PBE

Largest 8 diffraction maxima, most intense first, 10° ≤ 2θ ≤ 90°:
Position (°2θ)  I_rel
38.8  100
74.0  26
32.6  26
58.1  23
33.3  20
13.6  19
72.1  16
41.6  15

Cell and atoms:
Cell lengths 3.173, 3.173, 13.035 Å; angles 90.00, 90.00, 120.00 degrees
Fractional coordinates of all 8 atoms:
Ta 0.000 0.000 0.147
Ta 0.000 0.000 0.853
Ta 0.333 0.667 0.332
Ta 0.333 0.667 0.668
Zn 0.000 0.000 0.500
Si 0.333 0.667 0.000
C 0.667 0.333 0.242
C 0.667 0.333 0.758